Record 1
Simulated X-ray diffraction stick pattern of LiHg9Pb2 for copper Kα, from a crystal structure in Alexandria, relaxed with PBE.

Most intense lines, 10 to 90 degrees two-theta, sorted by position:
| two_theta | Rel. int. |
| --- | --- |
| 30.35 | 94 |
| 30.85 | 60 |
| 31.09 | 55 |
| 34.32 | 100 |
| 35.54 | 58 |
| 36.68 | 84 |

Structural model:
```
LiHg9Pb2
1.0
6.0421 0.0000 0.0000
1.5326 7.4730 0.0000
1.5307 3.5443 7.0204
Li Hg Pb
1 9 2
direct
0.0000 0.0000 0.0000
0.0958 0.1139 0.2913
0.1041 0.4184 0.8286
0.2560 0.6599 0.3556
0.3205 0.2002 0.5697
0.5000 0.0000 0.0000
0.6795 0.7998 0.4303
0.7440 0.3401 0.6444
0.8959 0.5816 0.1714
0.9042 0.8861 0.7087
0.4101 0.7186 0.8334
0.5899 0.2814 0.1666
```

***

Record 2
Simulated X-ray diffraction stick pattern of Li4HgPb for copper Kα, from a crystal structure in Alexandria, relaxed with PBE.

Most intense lines, 10 to 90 degrees two-theta, sorted by position:
| two_theta | Rel. int. |
| --- | --- |
| 22.29 | 100 |
| 22.41 | 47 |
| 27.84 | 30 |
| 35.97 | 97 |
| 39.27 | 24 |
| 48.82 | 23 |

Structural model:
```
Li4HgPb
1.0
3.2047 0.0000 0.0000
0.0000 4.6141 0.0000
-0.0047 0.0000 7.9330
Li Hg Pb
4 1 1
direct
0.0000 0.0000 0.0000
0.0003 0.5000 0.1895
0.4977 0.5000 0.5048
0.9995 0.0000 0.6468
0.5002 0.0000 0.3145
0.4992 0.5000 0.8574
```

***

Record 3
Simulated X-ray diffraction stick pattern of Li3Hg2Pb3 for copper Kα, from a crystal structure in Alexandria, relaxed with PBE.

Most intense lines, 10 to 90 degrees two-theta, sorted by position:
| two_theta | Rel. int. |
| --- | --- |
| 22.05 | 19 |
| 24.69 | 34 |
| 28.32 | 44 |
| 35.12 | 100 |
| 35.51 | 20 |
| 35.72 | 26 |

Structural model:
```
Li3Hg2Pb3
1.0
-1.8323 2.5140 10.1135
1.8323 -2.5140 10.1135
1.8323 2.5140 -10.1135
Li Hg Pb
3 2 3
direct
0.0000 0.0000 0.0000
0.3762 0.8762 0.5000
0.6238 0.1238 0.5000
0.2666 0.2666 0.0000
0.7334 0.7334 0.0000
0.1221 0.6221 0.5000
0.5000 0.5000 0.0000
0.8779 0.3779 0.5000
```